1.
Diffraction record for Tb6Zn23. The PXRD pattern is theoretical, not measured: it uses a PBE-relaxed structure and Cu Kα X-rays.

The 12 most intense peaks (2θ from 10° to 80°), by angle:
2θ 24.35, intensity 13
2θ 30.78, intensity 18
2θ 34.71, intensity 27
2θ 36.89, intensity 77
2θ 40.29, intensity 100
2θ 42.85, intensity 16
2θ 51.55, intensity 12
2θ 59.79, intensity 13
2θ 62.21, intensity 21
2θ 73.25, intensity 13
2θ 74.58, intensity 17
2θ 78.07, intensity 13

Cell and atoms:
Unit cell a=8.953 b=8.953 c=8.953 alpha=60.00 beta=60.00 gamma=60.00
Positions (direct):
Tb  0.207  0.207  0.793
Tb  0.207  0.793  0.207
Tb  0.207  0.793  0.793
Tb  0.793  0.207  0.207
Tb  0.793  0.207  0.793
Tb  0.793  0.793  0.207
Zn  0.000  0.000  0.500
Zn  0.000  0.500  0.000
Zn  0.000  0.500  0.500
Zn  0.131  0.623  0.623
Zn  0.171  0.171  0.171
Zn  0.171  0.171  0.486
Zn  0.171  0.486  0.171
Zn  0.377  0.377  0.377
Zn  0.377  0.377  0.869
Zn  0.377  0.869  0.377
Zn  0.486  0.171  0.171
Zn  0.500  0.000  0.000
Zn  0.500  0.000  0.500
Zn  0.500  0.500  0.000
Zn  0.500  0.500  0.500
Zn  0.514  0.829  0.829
Zn  0.623  0.131  0.623
Zn  0.623  0.623  0.131
Zn  0.623  0.623  0.623
Zn  0.829  0.514  0.829
Zn  0.829  0.829  0.514
Zn  0.829  0.829  0.829
Zn  0.869  0.377  0.377

=====

2.
Diffraction record for Tb3Zr4. The PXRD pattern is theoretical, not measured: it uses a PBE-relaxed structure and Cu Kα X-rays.

The 12 most intense peaks (2θ from 10° to 80°), by angle:
2θ 25.96, intensity 7
2θ 28.43, intensity 5
2θ 30.44, intensity 24
2θ 33.64, intensity 26
2θ 34.88, intensity 100
2θ 41.92, intensity 3
2θ 45.99, intensity 15
2θ 54.09, intensity 18
2θ 60.96, intensity 20
2θ 65.22, intensity 20
2θ 65.99, intensity 13
2θ 73.66, intensity 3

Cell and atoms:
Unit cell a=8.972 b=8.972 c=5.329 alpha=90.00 beta=90.00 gamma=120.00
Positions (direct):
Tb  0.056  0.256  0.250
Tb  0.200  0.944  0.250
Tb  0.256  0.200  0.750
Tb  0.744  0.800  0.250
Tb  0.800  0.056  0.750
Tb  0.944  0.744  0.750
Zr  0.107  0.498  0.750
Zr  0.333  0.667  0.250
Zr  0.391  0.893  0.750
Zr  0.498  0.391  0.250
Zr  0.502  0.609  0.750
Zr  0.609  0.107  0.250
Zr  0.667  0.333  0.750
Zr  0.893  0.502  0.250

=====

3.
Diffraction record for TbZr. The PXRD pattern is theoretical, not measured: it uses a PBE-relaxed structure and Cu Kα X-rays.

The 12 most intense peaks (2θ from 10° to 80°), by angle:
2θ 30.22, intensity 24
2θ 30.40, intensity 12
2θ 33.28, intensity 38
2θ 34.61, intensity 100
2θ 34.76, intensity 50
2θ 45.57, intensity 15
2θ 53.90, intensity 18
2θ 60.33, intensity 20
2θ 60.43, intensity 10
2θ 64.55, intensity 10
2θ 64.84, intensity 20
2θ 65.46, intensity 14

Cell and atoms:
Unit cell a=5.384 b=9.044 c=9.044 alpha=142.05 beta=90.00 gamma=90.00
Positions (direct):
Tb  0.000  0.000  0.000
Tb  0.000  0.420  0.627
Tb  0.000  0.627  0.420
Tb  0.500  0.064  0.278
Tb  0.500  0.278  0.064
Zr  0.000  0.205  0.785
Zr  0.000  0.785  0.205
Zr  0.500  0.484  0.891
Zr  0.500  0.670  0.670
Zr  0.500  0.891  0.484

=====

4.
Diffraction record for TbZr. The PXRD pattern is theoretical, not measured: it uses a PBE-relaxed structure and Cu Kα X-rays.

The 12 most intense peaks (2θ from 10° to 80°), by angle:
2θ 27.85, intensity 17
2θ 30.46, intensity 27
2θ 33.16, intensity 41
2θ 34.34, intensity 51
2θ 34.79, intensity 100
2θ 45.64, intensity 18
2θ 53.51, intensity 15
2θ 60.00, intensity 10
2θ 60.29, intensity 20
2θ 64.41, intensity 17
2θ 65.25, intensity 11
2θ 65.98, intensity 15

Cell and atoms:
Unit cell a=3.370 b=5.403 c=11.931 alpha=90.00 beta=90.00 gamma=90.00
Positions (direct):
Tb  0.250  0.250  0.056
Tb  0.250  0.750  0.223
Tb  0.750  0.250  0.777
Tb  0.750  0.750  0.944
Zr  0.250  0.250  0.534
Zr  0.250  0.750  0.687
Zr  0.750  0.250  0.313
Zr  0.750  0.750  0.466

=====

5.
Diffraction record for ZnTc. The PXRD pattern is theoretical, not measured: it uses a PBE-relaxed structure and Cu Kα X-rays.

The 12 most intense peaks (2θ from 10° to 80°), by angle:
2θ 14.06, intensity 9
2θ 28.33, intensity 1
2θ 32.87, intensity 2
2θ 41.40, intensity 100
2θ 42.29, intensity 48
2θ 44.78, intensity 2
2θ 53.10, intensity 2
2θ 58.60, intensity 8
2θ 61.35, intensity 15
2θ 66.99, intensity 2
2θ 74.89, intensity 15
2θ 76.73, intensity 30

Cell and atoms:
Unit cell a=6.301 b=4.275 c=4.272 alpha=90.00 beta=90.00 gamma=90.00
Positions (direct):
Zn  0.119  0.001  0.250
Zn  0.119  0.499  0.750
Zn  0.881  0.501  0.250
Zn  0.881  0.999  0.750
Tc  0.389  0.000  0.750
Tc  0.389  0.500  0.250
Tc  0.611  0.000  0.250
Tc  0.611  0.500  0.750

=====

6.
Diffraction record for ZnTc. The PXRD pattern is theoretical, not measured: it uses a PBE-relaxed structure and Cu Kα X-rays.

The 6 most intense peaks (2θ from 10° to 80°), by angle:
2θ 25.27, intensity 4
2θ 41.85, intensity 100
2θ 49.52, intensity 2
2θ 60.68, intensity 16
2θ 66.80, intensity 1
2θ 76.44, intensity 32

Cell and atoms:
Unit cell a=4.317 b=4.317 c=4.317 alpha=60.00 beta=60.00 gamma=60.00
Positions (direct):
Zn  0.125  0.125  0.125
Zn  0.875  0.875  0.875
Tc  0.375  0.375  0.375
Tc  0.625  0.625  0.625

=====

7.
Diffraction record for ZnTc. The PXRD pattern is theoretical, not measured: it uses a PBE-relaxed structure and Cu Kα X-rays.

The 12 most intense peaks (2θ from 10° to 80°), by angle:
2θ 16.52, intensity 2
2θ 37.75, intensity 11
2θ 38.51, intensity 28
2θ 40.56, intensity 43
2θ 43.06, intensity 58
2θ 43.75, intensity 100
2θ 56.60, intensity 6
2θ 57.16, intensity 17
2θ 68.66, intensity 17
2θ 70.17, intensity 8
2θ 75.51, intensity 10
2θ 76.00, intensity 18

Cell and atoms:
Unit cell a=4.449 b=5.365 c=4.766 alpha=90.00 beta=90.00 gamma=90.00
Positions (direct):
Zn  0.000  0.000  0.000
Zn  0.000  0.258  0.492
Zn  0.000  0.742  0.492
Zn  0.500  0.000  0.670
Tc  0.000  0.500  0.987
Tc  0.500  0.238  0.172
Tc  0.500  0.500  0.661
Tc  0.500  0.762  0.172

=====

8.
Diffraction record for Zr2Tc. The PXRD pattern is theoretical, not measured: it uses a PBE-relaxed structure and Cu Kα X-rays.

The 12 most intense peaks (2θ from 10° to 80°), by angle:
2θ 16.81, intensity 5
2θ 37.20, intensity 100
2θ 38.24, intensity 50
2θ 42.04, intensity 2
2θ 51.27, intensity 6
2θ 52.03, intensity 9
2θ 55.18, intensity 17
2θ 66.37, intensity 15
2θ 68.38, intensity 17
2θ 68.49, intensity 16
2θ 78.67, intensity 3
2θ 79.27, intensity 8

Cell and atoms:
Unit cell a=5.776 b=5.774 c=3.329 alpha=73.28 beta=73.22 gamma=33.50
Positions (direct):
Zr  0.149  0.149  0.851
Zr  0.851  0.851  0.149
Tc  0.500  0.500  0.500

=====

9.
Diffraction record for ThTe3. The PXRD pattern is theoretical, not measured: it uses a PBE-relaxed structure and Cu Kα X-rays.

The 12 most intense peaks (2θ from 10° to 80°), by angle:
2θ 15.53, intensity 15
2θ 17.40, intensity 16
2θ 26.06, intensity 100
2θ 30.99, intensity 18
2θ 31.35, intensity 16
2θ 33.93, intensity 15
2θ 35.25, intensity 21
2θ 35.36, intensity 21
2θ 36.69, intensity 18
2θ 37.16, intensity 14
2θ 37.46, intensity 15
2θ 40.62, intensity 22

Cell and atoms:
Unit cell a=6.266 b=4.442 c=10.807 alpha=90.00 beta=97.46 gamma=90.00
Positions (direct):
Th  0.216  0.250  0.346
Th  0.784  0.750  0.654
Te  0.053  0.250  0.820
Te  0.265  0.750  0.562
Te  0.389  0.750  0.166
Te  0.611  0.250  0.834
Te  0.735  0.250  0.438
Te  0.947  0.750  0.180

=====

10.
Diffraction record for Zr3TlTe5. The PXRD pattern is theoretical, not measured: it uses a PBE-relaxed structure and Cu Kα X-rays.

The 12 most intense peaks (2θ from 10° to 80°), by angle:
2θ 26.78, intensity 85
2θ 28.12, intensity 91
2θ 30.12, intensity 16
2θ 39.22, intensity 100
2θ 43.25, intensity 19
2θ 48.95, intensity 33
2θ 49.76, intensity 19
2θ 52.38, intensity 26
2θ 58.13, intensity 27
2θ 68.00, intensity 16
2θ 72.38, intensity 16
2θ 75.15, intensity 22

Cell and atoms:
Unit cell a=6.347 b=6.347 c=8.368 alpha=90.00 beta=90.00 gamma=120.00
Positions (direct):
Zr  0.000  0.500  0.000
Zr  0.500  0.000  0.000
Zr  0.500  0.500  0.000
Tl  0.000  0.000  0.500
Te  0.000  0.000  0.000
Te  0.333  0.667  0.271
Te  0.333  0.667  0.729
Te  0.667  0.333  0.271
Te  0.667  0.333  0.729

=====

11.
Diffraction record for Tm2Te5. The PXRD pattern is theoretical, not measured: it uses a PBE-relaxed structure and Cu Kα X-rays.

The 12 most intense peaks (2θ from 10° to 80°), by angle:
2θ 28.49, intensity 30
2θ 29.05, intensity 23
2θ 30.76, intensity 100
2θ 34.44, intensity 48
2θ 35.28, intensity 17
2θ 36.87, intensity 32
2θ 37.03, intensity 20
2θ 41.44, intensity 59
2θ 51.06, intensity 24
2θ 56.77, intensity 12
2θ 60.05, intensity 20
2θ 68.99, intensity 19

Cell and atoms:
Unit cell a=22.037 b=22.037 c=4.358 alpha=90.00 beta=90.00 gamma=168.65
Positions (direct):
Tm  0.102  0.898  0.750
Tm  0.306  0.694  0.750
Tm  0.694  0.306  0.250
Tm  0.898  0.102  0.250
Te  0.046  0.954  0.250
Te  0.175  0.825  0.750
Te  0.250  0.750  0.250
Te  0.376  0.624  0.750
Te  0.454  0.546  0.250
Te  0.546  0.454  0.750
Te  0.624  0.376  0.250
Te  0.750  0.250  0.750
Te  0.825  0.175  0.250
Te  0.954  0.046  0.750

=====

12.
Diffraction record for Tm2Te3. The PXRD pattern is theoretical, not measured: it uses a PBE-relaxed structure and Cu Kα X-rays.

The 12 most intense peaks (2θ from 10° to 80°), by angle:
2θ 13.06, intensity 18
2θ 16.12, intensity 4
2θ 21.37, intensity 6
2θ 24.52, intensity 4
2θ 29.37, intensity 100
2θ 42.02, intensity 76
2θ 52.09, intensity 27
2θ 60.93, intensity 13
2θ 69.05, intensity 29
2θ 69.10, intensity 6
2θ 76.75, intensity 17
2θ 76.81, intensity 9

Cell and atoms:
Unit cell a=14.255 b=13.593 c=7.450 alpha=79.46 beta=69.63 gamma=30.92
Positions (direct):
Tm  0.042  0.042  0.208
Tm  0.125  0.125  0.625
Tm  0.208  0.208  0.042
Tm  0.375  0.375  0.875
Tm  0.625  0.625  0.125
Tm  0.792  0.792  0.958
Tm  0.875  0.875  0.375
Tm  0.958  0.958  0.792
Te  0.043  0.541  0.209
Te  0.129  0.621  0.621
Te  0.209  0.708  0.043
Te  0.292  0.791  0.459
Te  0.379  0.871  0.871
Te  0.459  0.957  0.292
Te  0.541  0.043  0.708
Te  0.621  0.129  0.129
Te  0.708  0.209  0.541
Te  0.791  0.292  0.957
Te  0.871  0.379  0.379
Te  0.957  0.459  0.791